Record 1
# Lu4CoSn2
Calculated powder X-ray diffraction pattern, Cu Kα X-rays. Input: the GGA-PBE geometry in Alexandria.
Kinematic intensities with the Lorentz-polarization factor, no thermal factor.

The 10 most intense peaks (2θ = 10–90°), low angle first:
index, 2θ (°), d/Å, intensity
0 0 2, 11.1, 7.973, 27
1 1 2, 28.5, 3.133, 100
0 0 6, 33.7, 2.658, 78
1 1 4, 34.6, 2.590, 97
2 0 0, 37.3, 2.409, 93
2 0 6, 51.2, 1.785, 77
2 2 0, 53.8, 1.704, 33
3 1 2, 62.0, 1.497, 23
2 2 6, 65.0, 1.434, 33
3 1 4, 65.6, 1.423, 32

Cell and atoms:
Lattice parameters (Å, degrees): 4.8186 4.8186 15.9457 90.00 90.00 90.00
Space group I4/mmm (No. 139)
Symmetry-distinct sites (fractional):
Lu 0.0000 0.0000 0.1709 x4
Lu 0.0000 0.5000 0.0000 x4
Co 0.0000 0.0000 0.0000 x2
Sn 0.0000 0.0000 0.3612 x4

=====

Record 2
# Mg3Co2
Calculated powder X-ray diffraction pattern, Cu Kα X-rays. Input: the GGA-PBE geometry in Alexandria.
Kinematic intensities with the Lorentz-polarization factor, no thermal factor.

The 10 most intense peaks (2θ = 10–90°), low angle first:
index, 2θ (°), d/Å, intensity
2 2 0, 17.5, 5.059, 100
0 4 0, 18.0, 4.920, 58
3 1 1, 39.5, 2.280, 96
2 8 0, 39.7, 2.271, 42
1 5 1, 40.0, 2.254, 42
4 6 0, 41.2, 2.193, 59
3 3 1, 41.7, 2.166, 28
1 7 1, 46.2, 1.966, 43
6 2 0, 47.1, 1.928, 23
5 1 1, 50.6, 1.804, 20

Cell and atoms:
Lattice parameters (Å, degrees): 11.7961 19.6812 2.8268 90.00 90.00 90.00
Space group Fdd2 (No. 43)
Symmetry-distinct sites (fractional):
Mg 0.0000 0.0000 0.0000 x8
Mg 0.0834 0.1412 0.7576 x16
Co 0.0608 0.2793 0.7105 x16

=====

Record 3
# Mg3Co5
Calculated powder X-ray diffraction pattern, Cu Kα X-rays. Input: the GGA-PBE geometry in Alexandria.
Kinematic intensities with the Lorentz-polarization factor, no thermal factor.

The 10 most intense peaks (2θ = 10–90°), low angle first:
index, 2θ (°), d/Å, intensity
0 0 1, 12.1, 7.312, 100
0 1 0, 12.3, 7.196, 93
0 1 1, 15.7, 5.637, 19
0 2 -2, 38.0, 2.369, 39
1 2 3, 39.3, 2.295, 18
2 1 1, 40.0, 2.257, 22
0 2 3, 41.0, 2.202, 20
1 0 -3, 46.8, 1.942, 28
2 -1 1, 47.6, 1.912, 25
1 -3 0, 48.0, 1.897, 47

Cell and atoms:
Lattice parameters (Å, degrees): 4.5155 7.6308 7.6956 76.39 74.69 73.21
Space group P-1 (No. 2)
Symmetry-distinct sites (fractional):
Mg 0.1644 0.0896 0.0963 x2
Mg 0.1813 0.5389 0.1034 x2
Mg 0.3105 0.8933 0.4723 x2
Co 0.0745 0.2100 0.6891 x2
Co 0.1978 0.2634 0.3680 x2
Co 0.2476 0.5240 0.4788 x2
Co 0.3076 0.6249 0.7381 x2
Co 0.4588 0.3025 0.7882 x2

=====

Record 4
# MgCo6
Calculated powder X-ray diffraction pattern, Cu Kα X-rays. Input: the GGA-PBE geometry in Alexandria.
Kinematic intensities with the Lorentz-polarization factor, no thermal factor.

The 10 most intense peaks (2θ = 10–90°), low angle first:
index, 2θ (°), d/Å, intensity
1 1 1, 24.1, 3.696, 48
1 0 4, 39.0, 2.312, 47
2 1 3, 41.4, 2.180, 50
3 1 1, 41.7, 2.166, 84
2 2 1, 46.4, 1.957, 67
1 0 5, 48.4, 1.881, 39
2 1 4, 48.6, 1.874, 57
4 0 1, 49.1, 1.855, 43
1 2 3, 49.3, 1.847, 100
3 0 4, 52.3, 1.748, 30

Cell and atoms:
Lattice parameters (Å, degrees): 7.5604 4.7082 9.7118 90.00 90.00 90.00
Space group Pnma (No. 62)
Symmetry-distinct sites (fractional):
Mg 0.2419 0.2500 0.0633 x4
Co 0.0664 0.7500 0.0829 x4
Co 0.0705 0.0112 0.3076 x8
Co 0.0900 0.2500 0.5228 x4
Co 0.1348 0.7500 0.8516 x4
Co 0.1834 0.2500 0.7569 x4

=====

Question: What is the formula in the first record?
Answer: Lu4CoSn2